The following is a computed XRD peak list of CeCuSi2Pd. It was derived from a GGA-PBE-relaxed structure, using Cu Kα (λ = 1.5418 Å).
Peak positions follow from Bragg's law for the DFT cell and can differ from measured ones.

The 8 most intense peaks (2θ = 10–80°), sorted by position:
| Position (°2θ) | I/Imax |
| --- | --- |
| 23.4 | 258 |
| 34.5 | 286 |
| 35.7 | 1000 |
| 44.1 | 315 |
| 50.4 | 181 |
| 57.9 | 135 |
| 64.1 | 231 |
| 75.6 | 183 |

Crystal structure
```
CeCuSi2Pd
1.0
4.1090 0.0000 0.0000
0.0000 4.1090 0.0000
0.0000 0.0000 10.0789
Ce Cu Si Pd
2 2 4 2
Cartesian
0.0000 0.0000 0.0000 Ce
2.0545 2.0545 5.0395 Ce
0.0000 2.0545 7.5592 Cu
2.0545 0.0000 2.5197 Cu
0.0000 0.0000 3.8576 Si
0.0000 0.0000 6.2213 Si
2.0545 2.0545 1.1818 Si
2.0545 2.0545 8.8971 Si
0.0000 2.0545 2.5197 Pd
2.0545 0.0000 7.5592 Pd
```